Computed X-ray powder pattern
Compound: Y2FeBr
Radiation: CuKα
Structure: DFT lattice parameters and positions (PBE)
Kinematic intensities with the Lorentz-polarization factor, no thermal factor.

Structure:
```
data_Y2FeBr
_cell_length_a 4.7866
_cell_length_b 4.8067
_cell_length_c 8.0003
_cell_angle_alpha 90.00
_cell_angle_beta 90.00
_cell_angle_gamma 90.00
_symmetry_space_group_name_H-M 'C m m m'
_symmetry_Int_Tables_number 65
_symmetry_space_group_name_Hall '-C 2 2'
loop_
_atom_site_label
_atom_site_type_symbol
_atom_site_fract_x
_atom_site_fract_y
_atom_site_fract_z
Y1 Y 0.0000 0.0000 0.2011
Fe1 Fe 0.0000 0.5000 0.0000
Br1 Br 0.0000 0.5000 0.5000
```

Top 10 peaks for 10° ≤ 2θ ≤ 80°, by intensity:
hkl 1 1 2, 34.68°, d 2.587, I = 100; hkl 0 2 0, 37.42°, d 2.403, I = 25; hkl 2 0 0, 37.58°, d 2.393, I = 25; hkl 2 2 0, 54.08°, d 1.696, I = 17; hkl 1 3 2, 65.74°, d 1.420, I = 14; hkl 3 1 2, 65.96°, d 1.416, I = 14; hkl 1 1 1, 28.59°, d 3.123, I = 12; hkl 1 1 3, 43.15°, d 2.096, I = 9; hkl 0 0 3, 33.61°, d 2.667, I = 9; hkl 1 1 5, 64.38°, d 1.447, I = 8

=====

Computed X-ray powder pattern
Compound: Na2In3Ag4
Radiation: CuKα
Structure: DFT lattice parameters and positions (PBE)
Kinematic intensities with the Lorentz-polarization factor, no thermal factor.

Structure:
```
data_Na2In3Ag4
_cell_length_a 4.8643
_cell_length_b 4.8927
_cell_length_c 9.0934
_cell_angle_alpha 86.32
_cell_angle_beta 86.82
_cell_angle_gamma 62.90
_symmetry_space_group_name_H-M 'P -1'
_symmetry_Int_Tables_number 2
_symmetry_space_group_name_Hall '-P 1'
loop_
_atom_site_label
_atom_site_type_symbol
_atom_site_fract_x
_atom_site_fract_y
_atom_site_fract_z
Na1 Na 0.1619 0.1617 0.2204
In1 In 0.1720 0.1732 0.5788
In2 In 0.5000 0.5000 0.0000
Ag1 Ag 0.1705 0.1701 0.9006
Ag2 Ag 0.4909 0.4881 0.3389
```

Top 10 peaks for 10° ≤ 2θ ≤ 80°, by intensity:
hkl 1 2 0, 36.91°, d 2.436, I = 100; hkl 1 -1 0, 35.26°, d 2.545, I = 59; hkl 1 1 3, 35.48°, d 2.530, I = 53; hkl 2 1 0, 37.07°, d 2.425, I = 51; hkl 1 0 -3, 36.76°, d 2.445, I = 49; hkl 3 0 0, 64.56°, d 1.443, I = 26; hkl 3 1 -3, 67.41°, d 1.389, I = 22; hkl 0 2 3, 50.60°, d 1.804, I = 18; hkl 2 0 3, 51.18°, d 1.785, I = 18; hkl 1 1 1, 22.97°, d 3.872, I = 16

=====

Computed X-ray powder pattern
Compound: Ag2Br4F
Radiation: CuKα
Structure: DFT lattice parameters and positions (PBE)
Kinematic intensities with the Lorentz-polarization factor, no thermal factor.

Structure:
```
data_Ag2Br4F
_cell_length_a 8.1682
_cell_length_b 8.1708
_cell_length_c 8.6229
_cell_angle_alpha 62.29
_cell_angle_beta 62.29
_cell_angle_gamma 89.00
_symmetry_space_group_name_H-M 'P 1'
_symmetry_Int_Tables_number 1
_symmetry_space_group_name_Hall 'P 1'
loop_
_atom_site_label
_atom_site_type_symbol
_atom_site_fract_x
_atom_site_fract_y
_atom_site_fract_z
Ag1 Ag 0.0000 0.0000 0.0000
Ag2 Ag 0.0039 0.4200 0.9908
Ag3 Ag 0.5349 0.4649 0.5010
Ag4 Ag 0.9552 0.4694 0.4903
Br1 Br 0.1832 0.7425 0.9239
Br2 Br 0.2777 0.6486 0.4240
Br3 Br 0.2786 0.2354 0.9337
Br4 Br 0.2892 0.3261 0.4065
Br5 Br 0.7707 0.7440 0.4335
Br6 Br 0.7768 0.2525 0.4359
Br7 Br 0.7874 0.2419 0.9357
Br8 Br 0.8602 0.7541 0.9067
F1 F 0.2945 0.0993 0.3973
F2 F 0.6334 0.7594 0.8976
```

Top 10 peaks for 10° ≤ 2θ ≤ 80°, by intensity:
hkl 0 0 2, 27.28°, d 3.269, I = 100; hkl 1 0 0, 12.65°, d 6.996, I = 93; hkl 0 1 1, 12.91°, d 6.859, I = 79; hkl 2 2 2, 30.70°, d 2.912, I = 50; hkl 2 -2 0, 31.24°, d 2.863, I = 49; hkl 1 0 -1, 22.91°, d 3.881, I = 37; hkl -2 2 2, 41.95°, d 2.154, I = 35; hkl 1 0 2, 23.34°, d 3.811, I = 29; hkl 4 0 2, 44.37°, d 2.042, I = 27; hkl -2 3 1, 40.75°, d 2.214, I = 23

=====

Computed X-ray powder pattern
Compound: NbGe2W
Radiation: CuKα
Structure: DFT lattice parameters and positions (PBE)
Kinematic intensities with the Lorentz-polarization factor, no thermal factor.

Structure:
```
data_NbGe2W
_cell_length_a 3.8968
_cell_length_b 3.8968
_cell_length_c 18.8213
_cell_angle_alpha 90.00
_cell_angle_beta 90.00
_cell_angle_gamma 90.00
_symmetry_space_group_name_H-M 'I -4 2 d'
_symmetry_Int_Tables_number 122
_symmetry_space_group_name_Hall 'I -4 2bw'
loop_
_atom_site_label
_atom_site_type_symbol
_atom_site_fract_x
_atom_site_fract_y
_atom_site_fract_z
Nb1 Nb 0.0000 0.0000 0.0000
Ge1 Ge 0.2464 0.2500 0.6250
W1 W 0.0000 0.0000 0.5000
```

Top 10 peaks for 10° ≤ 2θ ≤ 80°, by intensity:
hkl 1 1 2, 33.90°, d 2.644, I = 100; hkl 2 0 4, 50.71°, d 1.800, I = 59; hkl 1 1 6, 43.73°, d 2.070, I = 49; hkl 2 0 12, 78.24°, d 1.222, I = 35; hkl 0 0 8, 38.26°, d 2.353, I = 33; hkl 1 1 10, 59.48°, d 1.554, I = 20; hkl 0 0 4, 18.86°, d 4.705, I = 17; hkl 2 2 0, 68.05°, d 1.378, I = 12; hkl 1 0 1, 23.31°, d 3.816, I = 9; hkl 1 1 14, 79.29°, d 1.208, I = 9